No. 1
Structure and calculated powder XRD pattern of Mg16Al12Ir (DFT lattice parameters and positions (GGA-PBE); λ = 1.5418 Å (Cu Kα)).

Top 10 peaks for 5° ≤ 2θ ≤ 70°, sorted by position:
2θ = 11.83°, rel. 92; 2θ = 12.13°, rel. 100; 2θ = 20.38°, rel. 35; 2θ = 20.91°, rel. 40; 2θ = 34.33°, rel. 40; 2θ = 36.01°, rel. 41; 2θ = 36.85°, rel. 61; 2θ = 40.92°, rel. 38; 2θ = 43.97°, rel. 41; 2θ = 65.50°, rel. 35

Structural model:
Lattice parameters (Å, degrees): 8.9777 8.9777 8.9777 108.77 108.77 108.77
Atoms (fractional coordinates):
Mg: 0.0000 0.0000 0.0000
Mg: 0.0185 0.0185 0.6624
Mg: 0.0185 0.6624 0.0185
Mg: 0.0257 0.4242 0.6968
Mg: 0.0257 0.6968 0.4242
Mg: 0.3303 0.5784 0.5784
Mg: 0.3339 0.3339 0.7450
Mg: 0.3339 0.7450 0.3339
Mg: 0.4242 0.0257 0.6968
Mg: 0.4242 0.6968 0.0257
Mg: 0.5784 0.3303 0.5784
Mg: 0.5784 0.5784 0.3303
Mg: 0.6624 0.0185 0.0185
Mg: 0.6968 0.0257 0.4242
Mg: 0.6968 0.4242 0.0257
Mg: 0.7450 0.3339 0.3339
Al: 0.0205 0.1989 0.3810
Al: 0.0205 0.3810 0.1989
Al: 0.1989 0.0205 0.3810
Al: 0.1989 0.3810 0.0205
Al: 0.2199 0.8274 0.8274
Al: 0.3810 0.0205 0.1989
Al: 0.3810 0.1989 0.0205
Al: 0.6699 0.6699 0.8618
Al: 0.6699 0.8618 0.6699
Al: 0.8274 0.2199 0.8274
Al: 0.8274 0.8274 0.2199
Al: 0.8618 0.6699 0.6699
Ir: 0.2803 0.2803 0.2803

***

No. 2
Structure and calculated powder XRD pattern of Ba2CaCuSb2F14 (DFT lattice parameters and positions (GGA-PBE); λ = 1.5418 Å (Cu Kα)).

Top 10 peaks for 5° ≤ 2θ ≤ 70°, sorted by position:
2θ = 17.13°, rel. 28; 2θ = 21.83°, rel. 42; 2θ = 24.53°, rel. 100; 2θ = 25.23°, rel. 26; 2θ = 26.79°, rel. 28; 2θ = 27.81°, rel. 47; 2θ = 27.94°, rel. 42; 2θ = 39.30°, rel. 31; 2θ = 41.38°, rel. 25; 2θ = 51.22°, rel. 24

Structural model:
Lattice parameters (Å, degrees): 7.7114 7.7114 16.2897 90.72 90.72 42.18
Atoms (fractional coordinates):
Ba: 0.0971 0.2635 0.1233
Ba: 0.2635 0.0971 0.6233
Ba: 0.7365 0.9029 0.3767
Ba: 0.9029 0.7365 0.8767
Ca: 0.4464 0.5536 0.2500
Ca: 0.5536 0.4464 0.7500
Cu: 0.5000 0.5000 0.0000
Cu: 0.5000 0.5000 0.5000
Sb: 0.0691 0.1619 0.3766
Sb: 0.1619 0.0691 0.8766
Sb: 0.8381 0.9309 0.1234
Sb: 0.9309 0.8381 0.6234
F: 0.0298 0.6415 0.2106
F: 0.1010 0.8590 0.3318
F: 0.1032 0.5972 0.0441
F: 0.1399 0.3753 0.3921
F: 0.1410 0.8990 0.1682
F: 0.1460 0.6935 0.4881
F: 0.1742 0.5748 0.7343
F: 0.3065 0.8540 0.0119
F: 0.3585 0.9702 0.2894
F: 0.3633 0.5782 0.8880
F: 0.3753 0.1399 0.8921
F: 0.4028 0.8968 0.4559
F: 0.4218 0.6367 0.6120
F: 0.4252 0.8258 0.7657
F: 0.5748 0.1742 0.2343
F: 0.5782 0.3633 0.3880
F: 0.5972 0.1032 0.5441
F: 0.6247 0.8601 0.1079
F: 0.6367 0.4218 0.1120
F: 0.6415 0.0298 0.7106
F: 0.6935 0.1460 0.9881
F: 0.8258 0.4252 0.2657
F: 0.8540 0.3065 0.5119
F: 0.8590 0.1010 0.8318
F: 0.8601 0.6247 0.6079
F: 0.8968 0.4028 0.9559
F: 0.8990 0.1410 0.6682
F: 0.9702 0.3585 0.7894

***

No. 3
Structure and calculated powder XRD pattern of Nb6Pb10O25 (DFT lattice parameters and positions (GGA-PBE); λ = 1.5418 Å (Cu Kα)).

Top 10 peaks for 5° ≤ 2θ ≤ 70°, sorted by position:
2θ = 28.06°, rel. 33; 2θ = 28.25°, rel. 100; 2θ = 32.31°, rel. 18; 2θ = 32.87°, rel. 35; 2θ = 46.66°, rel. 19; 2θ = 46.86°, rel. 18; 2θ = 47.34°, rel. 10; 2θ = 55.20°, rel. 15; 2θ = 55.89°, rel. 20; 2θ = 56.03°, rel. 10

Structural model:
Lattice parameters (Å, degrees): 7.7343 7.6811 11.0817 90.00 90.34 90.00
Atoms (fractional coordinates):
Nb: 0.0000 0.0000 0.0000
Nb: 0.2378 0.2443 0.7460
Nb: 0.2378 0.7557 0.7460
Nb: 0.4932 0.5000 0.4974
Nb: 0.7494 0.2517 0.2454
Nb: 0.7494 0.7483 0.2454
Pb: 0.0079 0.5000 0.4918
Pb: 0.2666 0.2573 0.2419
Pb: 0.2666 0.7427 0.2419
Pb: 0.4868 0.0000 0.5128
Pb: 0.5053 0.5000 0.9974
Pb: 0.5062 0.0000 0.9879
Pb: 0.7455 0.2346 0.7331
Pb: 0.7455 0.7654 0.7331
Pb: 0.9881 0.5000 0.0000
Pb: 0.9919 0.0000 0.4993
O: 0.0304 0.2393 0.6326
O: 0.0304 0.7607 0.6326
O: 0.0790 0.1903 0.8722
O: 0.0790 0.8097 0.8722
O: 0.2322 0.5000 0.7758
O: 0.2370 0.0000 0.0610
O: 0.2402 0.5000 0.1064
O: 0.2868 0.0000 0.6792
O: 0.2967 0.5000 0.3729
O: 0.4022 0.3091 0.5937
O: 0.4022 0.6909 0.5937
O: 0.4459 0.2099 0.8519
O: 0.4459 0.7901 0.8519
O: 0.5466 0.2240 0.1121
O: 0.5466 0.7760 0.1121
O: 0.5920 0.3090 0.3719
O: 0.5920 0.6910 0.3719
O: 0.7166 0.5000 0.5769
O: 0.7211 0.0000 0.2721
O: 0.7623 0.5000 0.1738
O: 0.7674 0.0000 0.8940
O: 0.9216 0.1931 0.0950
O: 0.9216 0.8069 0.0950
O: 0.9597 0.2673 0.3365
O: 0.9597 0.7327 0.3365

***

No. 4
Structure and calculated powder XRD pattern of Rb3DyO3 (DFT lattice parameters and positions (GGA-PBE); λ = 1.5418 Å (Cu Kα)).

Top 10 peaks for 5° ≤ 2θ ≤ 70°, sorted by position:
2θ = 17.04°, rel. 53; 2θ = 26.45°, rel. 38; 2θ = 26.58°, rel. 41; 2θ = 27.28°, rel. 67; 2θ = 28.55°, rel. 100; 2θ = 29.84°, rel. 23; 2θ = 31.51°, rel. 32; 2θ = 36.11°, rel. 31; 2θ = 36.23°, rel. 33; 2θ = 52.82°, rel. 39

Structural model:
Lattice parameters (Å, degrees): 7.3625 7.3625 7.3035 94.74 94.74 116.34
Atoms (fractional coordinates):
Rb: 0.2059 0.7941 0.0000
Rb: 0.2600 0.7400 0.5000
Rb: 0.3634 0.3634 0.1432
Rb: 0.6366 0.6366 0.8568
Rb: 0.7400 0.2600 0.5000
Rb: 0.7941 0.2059 0.0000
Dy: 0.1778 0.1778 0.6496
Dy: 0.8222 0.8222 0.3504
O: 0.1029 0.1029 0.3444
O: 0.1689 0.4468 0.7691
O: 0.4468 0.1689 0.7691
O: 0.5532 0.8311 0.2309
O: 0.8311 0.5532 0.2309
O: 0.8971 0.8971 0.6556

***

No. 5
Structure and calculated powder XRD pattern of SiO2 (DFT lattice parameters and positions (GGA-PBE); λ = 1.5418 Å (Cu Kα)).

Top 10 peaks for 5° ≤ 2θ ≤ 70°, sorted by position:
2θ = 13.54°, rel. 100; 2θ = 18.03°, rel. 13; 2θ = 20.30°, rel. 35; 2θ = 22.93°, rel. 44; 2θ = 31.09°, rel. 28; 2θ = 32.01°, rel. 9; 2θ = 32.16°, rel. 9; 2θ = 37.35°, rel. 12; 2θ = 41.55°, rel. 8; 2θ = 51.73°, rel. 8

Structural model:
Lattice parameters (Å, degrees): 8.7480 9.8404 3.8788 90.00 90.00 90.00
Atoms (fractional coordinates):
Si: 0.0760 0.1421 0.1542
Si: 0.0760 0.3579 0.8458
Si: 0.4240 0.1421 0.8458
Si: 0.4240 0.3579 0.1542
Si: 0.5760 0.6421 0.8458
Si: 0.5760 0.8579 0.1542
Si: 0.9240 0.6421 0.1542
Si: 0.9240 0.8579 0.8458
O: 0.0000 0.0000 0.0000
O: 0.0000 0.5000 0.0000
O: 0.0502 0.7500 0.0000
O: 0.1057 0.2500 0.5000
O: 0.2500 0.1144 0.0000
O: 0.2500 0.3856 0.0000
O: 0.3943 0.2500 0.5000
O: 0.4498 0.7500 0.0000
O: 0.5000 0.0000 0.0000
O: 0.5000 0.5000 0.0000
O: 0.5502 0.2500 0.0000
O: 0.6057 0.7500 0.5000
O: 0.7500 0.6144 0.0000
O: 0.7500 0.8856 0.0000
O: 0.8943 0.7500 0.5000
O: 0.9498 0.2500 0.0000

***

No. 6
Structure and calculated powder XRD pattern of NiHg (DFT lattice parameters and positions (GGA-PBE); λ = 1.5418 Å (Cu Kα)).

Top 10 peaks for 5° ≤ 2θ ≤ 70°, sorted by position:
2θ = 27.37°, rel. 17; 2θ = 28.78°, rel. 31; 2θ = 40.14°, rel. 100; 2θ = 41.16°, rel. 47; 2θ = 50.14°, rel. 14; 2θ = 56.49°, rel. 9; 2θ = 59.62°, rel. 16; 2θ = 64.62°, rel. 7; 2θ = 66.81°, rel. 6; 2θ = 67.53°, rel. 6

Structural model:
Lattice parameters (Å, degrees): 3.1017 3.1017 3.2582 90.00 90.00 90.00
Atoms (fractional coordinates):
Ni: 0.0000 0.0000 0.0000
Hg: 0.5000 0.5000 0.5000

***

No. 7
Structure and calculated powder XRD pattern of LiCuSO4F (DFT lattice parameters and positions (GGA-PBE); λ = 1.5418 Å (Cu Kα)).

Top 10 peaks for 5° ≤ 2θ ≤ 70°, sorted by position:
2θ = 15.16°, rel. 26; 2θ = 18.62°, rel. 33; 2θ = 19.44°, rel. 69; 2θ = 26.80°, rel. 21; 2θ = 28.03°, rel. 64; 2θ = 29.69°, rel. 82; 2θ = 30.60°, rel. 26; 2θ = 30.63°, rel. 100; 2θ = 39.27°, rel. 21; 2θ = 49.27°, rel. 26

Structural model:
Lattice parameters (Å, degrees): 7.2091 7.2091 10.1892 113.62 113.62 50.59
Atoms (fractional coordinates):
Li: 0.1961 0.7152 0.5060
Li: 0.2848 0.8039 0.9940
Li: 0.7152 0.1961 0.0060
Li: 0.8039 0.2848 0.4940
Cu: 0.0405 0.2446 0.8331
Cu: 0.2446 0.0405 0.3331
Cu: 0.7554 0.9595 0.6669
Cu: 0.9595 0.7554 0.1669
S: 0.2386 0.4194 0.7072
S: 0.4194 0.2386 0.2072
S: 0.5806 0.7614 0.7928
S: 0.7614 0.5806 0.2928
O: 0.0756 0.6417 0.6408
O: 0.0859 0.3377 0.6973
O: 0.2288 0.4156 0.1072
O: 0.3377 0.0859 0.1973
O: 0.3583 0.9244 0.8592
O: 0.3618 0.4667 0.8577
O: 0.4156 0.2288 0.6072
O: 0.4667 0.3618 0.3577
O: 0.5333 0.6382 0.6423
O: 0.5844 0.7712 0.3928
O: 0.6382 0.5333 0.1423
O: 0.6417 0.0756 0.1408
O: 0.6623 0.9141 0.8027
O: 0.7712 0.5844 0.8928
O: 0.9141 0.6623 0.3027
O: 0.9244 0.3583 0.3592
F: 0.0664 0.8814 0.1004
F: 0.1186 0.9336 0.3996
F: 0.8814 0.0664 0.6004
F: 0.9336 0.1186 0.8996